Structure and computed powder X-ray diffraction pattern of Mo7W3 (DFT lattice parameters and positions (PBE); Cu Kα, 1.54184 Å).
Lines closer than 0.1° are merged.

```
data_Mo7W3
_chemical_formula_sum 'Mo14 W6'
_cell_length_a 8.5633
_cell_length_b 8.5633
_cell_length_c 5.2861
_cell_angle_alpha 90.00
_cell_angle_beta 90.00
_cell_angle_gamma 120.00
_symmetry_space_group_name_H-M 'P 63/m m c'
_symmetry_Int_Tables_number 194
_symmetry_space_group_name_Hall '-P 6c 2c'
loop_
_atom_site_label
_atom_site_type_symbol
_atom_site_fract_x
_atom_site_fract_y
_atom_site_fract_z
Mo1 Mo 0.0000 0.5000 0.0000
Mo2 Mo 0.1205 0.2411 0.2500
Mo3 Mo 0.3333 0.6667 0.2500
W1 W 0.2072 0.4144 0.7500
```

Principal peaks in the range 2θ from 10° to 90°, by angle:
2θ = 29.42°, I 30, (2 0 1)
2θ = 33.92°, I 24, (0 0 2)
2θ = 36.30°, I 58, (3 0 0)
2θ = 40.28°, I 100, (3 0 1)
2θ = 41.98°, I 82, (2 0 2)
2θ = 42.21°, I 40, (2 2 0)
2θ = 65.00°, I 24, (3 0 3)
2θ = 75.74°, I 26, (3 3 2)


Structure and computed powder X-ray diffraction pattern of Ac3HRh2 (DFT lattice parameters and positions (PBE); Cu Kα, 1.54184 Å).
Lines closer than 0.1° are merged.

```
data_Ac3HRh2
_chemical_formula_sum 'Ac12 H4 Rh8'
_cell_length_a 13.4187
_cell_length_b 5.9423
_cell_length_c 8.5653
_cell_angle_alpha 90.00
_cell_angle_beta 108.67
_cell_angle_gamma 90.00
_symmetry_space_group_name_H-M 'C 1 2/c 1'
_symmetry_Int_Tables_number 15
_symmetry_space_group_name_Hall '-C 2yc'
loop_
_atom_site_label
_atom_site_type_symbol
_atom_site_fract_x
_atom_site_fract_y
_atom_site_fract_z
Ac1 Ac 0.0000 0.0018 0.2500
Ac2 Ac 0.1696 0.5000 0.0841
H1 H 0.0000 0.4961 0.2500
Rh1 Rh 0.1596 0.0000 0.0802
```

Principal peaks in the range 2θ from 10° to 90°, by angle:
2θ = 25.64°, I 37, (1 1 -2)
2θ = 25.82°, I 37, (3 1 0)
2θ = 29.66°, I 100, (2 0 2)
2θ = 30.08°, I 49, (0 2 0)
2θ = 42.20°, I 20, (2 0 -4)
2θ = 42.73°, I 93, (2 2 2)
2θ = 52.69°, I 22, (2 2 -4)
2θ = 53.09°, I 20, (6 2 0)


Structure and computed powder X-ray diffraction pattern of NdTcAgO5 (DFT lattice parameters and positions (PBE); Cu Kα, 1.54184 Å).
Lines closer than 0.1° are merged.

```
data_NdTcAgO5
_chemical_formula_sum 'Nd4 Tc4 Ag4 O20'
_cell_length_a 8.8462
_cell_length_b 9.2964
_cell_length_c 8.7655
_cell_angle_alpha 90.00
_cell_angle_beta 119.62
_cell_angle_gamma 90.00
_symmetry_space_group_name_H-M 'C 1 2/c 1'
_symmetry_Int_Tables_number 15
_symmetry_space_group_name_Hall '-C 2yc'
loop_
_atom_site_label
_atom_site_type_symbol
_atom_site_fract_x
_atom_site_fract_y
_atom_site_fract_z
Nd1 Nd 0.0000 0.0000 0.0000
Tc1 Tc 0.0000 0.3579 0.2500
Ag1 Ag 0.0000 0.2987 0.7500
O1 O 0.0000 0.0707 0.7500
O2 O 0.0064 0.2536 0.0831
O3 O 0.1850 0.4769 0.3468
```

Principal peaks in the range 2θ from 10° to 90°, by angle:
2θ = 22.43°, I 100, (1 1 -2)
2θ = 23.13°, I 98, (2 0 0)
2θ = 30.34°, I 61, (0 2 2)
2θ = 31.12°, I 67, (1 3 0)
2θ = 32.46°, I 23, (3 1 -2)
2θ = 45.40°, I 29, (2 2 2)
2θ = 45.95°, I 26, (3 3 0)
2θ = 52.51°, I 27, (1 3 -4)


Structure and computed powder X-ray diffraction pattern of Na2SnC4O8 (DFT lattice parameters and positions (PBE); Cu Kα, 1.54184 Å).
Lines closer than 0.1° are merged.

```
data_Na2SnC4O8
_chemical_formula_sum 'Na8 Sn4 C16 O32'
_cell_length_a 10.4924
_cell_length_b 5.8447
_cell_length_c 13.8613
_cell_angle_alpha 90.00
_cell_angle_beta 108.10
_cell_angle_gamma 90.00
_symmetry_space_group_name_H-M 'C 1 2/c 1'
_symmetry_Int_Tables_number 15
_symmetry_space_group_name_Hall '-C 2yc'
loop_
_atom_site_label
_atom_site_type_symbol
_atom_site_fract_x
_atom_site_fract_y
_atom_site_fract_z
Na1 Na 0.1870 0.0115 0.0500
Sn1 Sn 0.0000 0.1880 0.7500
C1 C 0.0112 0.3992 0.1107
C2 C 0.1542 0.4938 0.6335
O1 O 0.0138 0.2176 0.4397
O2 O 0.0742 0.4885 0.8583
O3 O 0.1751 0.3060 0.6831
O4 O 0.2360 0.4050 0.0983
```

Principal peaks in the range 2θ from 10° to 90°, by angle:
2θ = 13.44°, I 27, (0 0 2)
2θ = 17.81°, I 100, (1 1 -1)
2θ = 19.82°, I 44, (1 1 1)
2θ = 24.70°, I 52, (1 1 -3)
2θ = 25.53°, I 33, (2 0 2)
2θ = 28.98°, I 61, (1 1 3)
2θ = 29.98°, I 35, (1 1 -4)
2θ = 32.15°, I 28, (3 1 -3)


Structure and computed powder X-ray diffraction pattern of AgH4NCl3 (DFT lattice parameters and positions (PBE); Cu Kα, 1.54184 Å).
Lines closer than 0.1° are merged.

```
data_AgH4NCl3
_chemical_formula_sum 'Ag1 H4 N1 Cl3'
_cell_length_a 5.0762
_cell_length_b 5.1652
_cell_length_c 5.1665
_cell_angle_alpha 90.00
_cell_angle_beta 90.05
_cell_angle_gamma 90.00
_symmetry_space_group_name_H-M 'P 1 m 1'
_symmetry_Int_Tables_number 6
_symmetry_space_group_name_Hall 'P -2y'
loop_
_atom_site_label
_atom_site_type_symbol
_atom_site_fract_x
_atom_site_fract_y
_atom_site_fract_z
Ag1 Ag 0.0000 0.0000 0.0000
H1 H 0.3802 0.3366 0.5014
H2 H 0.6156 0.5000 0.3361
H3 H 0.6185 0.5000 0.6628
N1 N 0.4987 0.5000 0.5004
Cl1 Cl 0.0351 0.0000 0.5000
Cl2 Cl 0.5000 0.0000 0.0002
Cl3 Cl 0.9649 0.5000 0.9996
```

Principal peaks in the range 2θ from 10° to 90°, by angle:
2θ = 17.17°, I 100, (0 1 0)
2θ = 17.47°, I 47, (1 0 0)
2θ = 24.59°, I 47, (1 1 0)
2θ = 34.73°, I 57, (0 2 0)
2θ = 38.99°, I 27, (0 2 1)
2θ = 39.13°, I 26, (1 2 0)
2θ = 39.56°, I 27, (2 1 0)
2θ = 50.41°, I 33, (2 2 0)